Entry 1:
The following is a calculated X-ray diffraction stick pattern of ZnFeSi2O6. It was derived from a cell relaxed with GGA+U, using Cu Kα (weighted mean of Kα1 and Kα2).

Most intense lines, 2θ from 10° to 90°, low angle first:
two_theta, I_rel
13.40, 52.1
19.24, 73.9
26.99, 69.9
28.22, 80.0
30.56, 74.3
33.07, 100.0
35.82, 56.5
40.21, 62.4
54.72, 54.6
60.18, 42.0

Atomic structure:
```
40
Lattice="5.382 0.000 0.000 1.801 6.609 0.000 1.788 0.334 13.215" Properties=species:S:1:pos:R:3 pbc="T T T"
Zn 1.343 1.621 1.571
Zn 4.030 5.195 5.057
Zn 4.941 1.749 8.157
Zn 7.628 5.323 11.644
Fe 2.248 0.880 7.291
Fe 4.939 6.243 12.525
Fe 4.032 0.701 0.689
Fe 6.723 6.063 5.923
Si 2.172 5.230 2.561
Si 3.104 4.254 8.067
Si 4.104 2.846 11.765
Si 3.171 1.568 4.061
Si 5.800 5.375 9.154
Si 4.867 4.098 1.450
Si 5.867 2.689 5.148
Si 6.799 1.713 10.653
O 2.161 6.414 1.408
O 2.434 5.732 4.091
O 1.963 2.633 4.419
O 3.107 5.400 6.882
O 2.897 2.434 10.717
O 3.823 4.374 12.245
O 3.359 2.715 7.587
O 4.322 4.644 9.113
O 3.388 4.182 2.173
O 4.113 1.717 12.973
O 2.903 1.028 2.548
O 3.162 0.413 5.240
O 5.809 6.530 7.975
O 6.068 5.915 10.667
O 4.858 5.227 0.242
O 5.584 2.762 11.041
O 4.649 2.299 4.101
O 5.612 4.229 5.628
O 5.148 2.569 0.970
O 6.074 4.509 2.498
O 5.864 1.543 6.332
O 7.008 4.310 8.795
O 6.537 1.211 9.124
O 6.810 0.529 11.807
```

=====

Entry 2:
The following is a calculated X-ray diffraction stick pattern of Sm3FeO6. It was derived from a cell relaxed with GGA+U, using Cu Kα (weighted mean of Kα1 and Kα2).

Most intense lines, 2θ from 10° to 90°, low angle first:
two_theta, I_rel
20.15, 17.1
29.64, 100.0
29.92, 39.5
30.34, 17.9
31.99, 20.0
44.67, 24.2
45.26, 19.3
49.70, 22.5
55.57, 13.6
58.29, 16.6

Atomic structure:
```
20
Lattice="4.572 -5.742 0.000 4.572 5.742 0.000 0.000 0.000 5.595" Properties=species:S:1:pos:R:3 pbc="T T T"
Sm 4.572 4.561 2.798
Sm 2.804 1.217 2.552
Sm 2.804 -1.217 5.350
Sm 6.341 1.217 2.552
Sm 6.341 -1.217 5.350
Sm 4.572 -4.561 0.000
Fe 4.572 2.214 5.173
Fe 4.572 -2.214 2.376
O 3.143 3.020 4.189
O 1.461 0.160 4.066
O 1.461 -0.160 1.268
O 4.572 2.468 1.468
O 6.001 3.020 4.189
O 4.572 0.472 4.358
O 4.572 -0.472 1.560
O 3.143 -3.020 1.391
O 4.572 -2.468 4.265
O 7.683 0.160 4.066
O 7.683 -0.160 1.268
O 6.001 -3.020 1.391
```

=====

Entry 3:
The following is a calculated X-ray diffraction stick pattern of Sr3SmFe2O8. It was derived from a cell relaxed with GGA+U, using Cu Kα (weighted mean of Kα1 and Kα2).

Most intense lines, 2θ from 10° to 90°, low angle first:
two_theta, I_rel
31.35, 100.0
32.70, 35.4
32.77, 34.6
42.65, 13.6
42.81, 14.7
43.72, 25.9
46.98, 37.8
54.92, 16.4
57.57, 36.3
65.42, 14.9

Atomic structure:
```
14
Lattice="5.476 0.000 0.000 0.000 2.733 6.337 0.000 -2.733 6.337" Properties=species:S:1:pos:R:3 pbc="T T T"
Sr 0.000 0.000 0.000
Sr 0.000 0.000 3.695
Sr 2.738 0.000 10.039
Sm 2.738 0.000 6.422
Fe 0.000 0.000 8.224
Fe 2.738 0.000 1.808
O 0.000 0.000 6.159
O 0.000 0.000 10.191
O 1.422 -1.363 8.138
O 1.422 1.363 8.138
O 2.738 0.000 4.164
O 2.738 0.000 12.443
O 4.055 -1.363 8.138
O 4.055 1.363 8.138
```

=====

Entry 4:
The following is a calculated X-ray diffraction stick pattern of Sr2SmFeO6. It was derived from a cell relaxed with GGA+U, using Cu Kα (weighted mean of Kα1 and Kα2).

Most intense lines, 2θ from 10° to 90°, low angle first:
two_theta, I_rel
18.65, 9.7
30.69, 100.0
36.16, 9.2
43.96, 33.0
48.14, 5.7
54.56, 38.8
63.91, 19.7
72.56, 17.8
80.81, 6.4
88.88, 21.3

Atomic structure:
```
10
Lattice="0.000 4.120 4.120 4.120 0.000 4.120 4.120 4.120 0.000" Properties=species:S:1:pos:R:3 pbc="T T T"
Sr 2.060 2.060 2.060
Sr 6.180 6.180 6.180
Sm 0.000 0.000 0.000
Fe 4.120 4.120 4.120
O 4.120 4.120 2.238
O 4.120 2.238 4.120
O 6.002 4.120 4.120
O 2.238 4.120 4.120
O 4.120 6.002 4.120
O 4.120 4.120 6.002
```

=====

Entry 5:
The following is a calculated X-ray diffraction stick pattern of SrSmZrFeO6. It was derived from a cell relaxed with GGA+U, using Cu Kα (weighted mean of Kα1 and Kα2).

Most intense lines, 2θ from 10° to 90°, low angle first:
two_theta, I_rel
18.96, 8.3
31.21, 100.0
36.77, 5.0
38.47, 10.0
44.72, 33.4
55.54, 39.2
65.09, 20.0
73.95, 16.8
78.22, 3.0
82.43, 6.6

Atomic structure:
```
10
Lattice="0.000 4.053 4.053 4.053 0.000 4.053 4.053 4.053 0.000" Properties=species:S:1:pos:R:3 pbc="T T T"
Sr 0.000 0.000 0.000
Sm 4.053 4.053 4.053
Zr 6.080 6.080 6.080
Fe 2.027 2.027 2.027
O 2.027 2.027 0.042
O 2.027 0.042 2.027
O 4.011 2.027 2.027
O 0.042 2.027 2.027
O 2.027 4.011 2.027
O 2.027 2.027 4.011
```

=====

Entry 6:
The following is a calculated X-ray diffraction stick pattern of SrFeSnWO6. It was derived from a cell relaxed with GGA+U, using Cu Kα (weighted mean of Kα1 and Kα2).

Most intense lines, 2θ from 10° to 90°, low angle first:
two_theta, I_rel
19.14, 20.8
31.50, 100.0
37.12, 11.8
45.15, 31.4
49.46, 5.2
56.09, 40.2
59.82, 4.5
65.76, 19.3
74.74, 17.7
83.35, 6.6

Atomic structure:
```
10
Lattice="0.000 4.017 4.017 4.017 0.000 4.017 4.017 4.017 0.000" Properties=species:S:1:pos:R:3 pbc="T T T"
Sr 0.000 0.000 0.000
Fe 6.025 6.025 6.025
Sn 4.017 4.017 4.017
W 2.008 2.008 2.008
O 2.008 2.008 0.034
O 2.008 0.034 2.008
O 3.983 2.008 2.008
O 0.034 2.008 2.008
O 2.008 3.983 2.008
O 2.008 2.008 3.983
```

=====

Entry 7:
The following is a calculated X-ray diffraction stick pattern of Sr2Fe2O5. It was derived from a cell relaxed with GGA+U, using Cu Kα (weighted mean of Kα1 and Kα2).

Most intense lines, 2θ from 10° to 90°, low angle first:
two_theta, I_rel
11.25, 12.4
30.95, 33.4
31.83, 100.0
31.95, 37.7
41.10, 16.7
45.08, 34.2
46.17, 15.0
55.61, 16.3
56.86, 19.9
66.51, 12.1

Atomic structure:
```
18
Lattice="-7.865 2.889 2.801 7.865 -2.889 2.801 7.865 2.889 -2.801" Properties=species:S:1:pos:R:3 pbc="T T T"
Sr 1.706 0.114 0.000
Sr 6.160 0.114 0.000
Sr 1.706 2.776 2.801
Sr 6.160 2.776 2.801
Fe 3.933 -0.416 3.021
Fe 0.000 0.000 2.772
Fe 7.865 0.000 2.772
Fe 3.933 3.305 0.220
O 11.798 0.745 -0.654
O 2.206 2.606 -0.112
O 5.660 2.606 -0.112
O -0.127 1.460 1.380
O 7.992 1.460 1.380
O 2.206 0.283 2.689
O 5.660 0.283 2.689
O -3.933 2.144 2.146
O 0.127 4.319 1.380
O -0.127 1.429 4.180
```